# 1
The following is a simulated X-ray diffraction stick pattern of BaMg2V2O8. It was derived from a crystal structure in the Materials Project, relaxed with GGA+U, using Cu Kα, 1.54184 Å.
Peak positions follow from Bragg's law for the DFT cell and can differ from measured ones.

Largest 12 diffraction maxima, in order of rising 2θ, 5° ≤ 2θ ≤ 70°:
two_theta, I_rel
14.0, 30
22.9, 54
25.0, 41
30.5, 100
31.0, 30
31.7, 72
36.7, 65
42.1, 25
46.8, 29
47.0, 33
61.7, 44
62.5, 23

Cell and atoms:
```
BaMg2V2O8
1.0
-6.303 6.303 4.309
6.303 -6.303 4.309
6.303 6.303 -4.309
Ba Mg V O
4 8 8 32
Direct
0.125 0.875 0.250
0.375 0.625 0.750
0.625 0.375 0.250
0.875 0.125 0.750
0.043 0.793 0.586
0.207 0.293 0.250
0.293 0.543 0.086
0.457 0.043 0.750
0.543 0.957 0.250
0.707 0.457 0.914
0.793 0.707 0.750
0.957 0.207 0.414
0.169 0.750 0.919
0.250 0.169 0.919
0.250 0.669 0.419
0.331 0.250 0.581
0.669 0.750 0.419
0.750 0.331 0.581
0.750 0.831 0.081
0.831 0.250 0.081
0.043 0.312 0.086
0.044 0.957 0.769
0.068 0.659 0.414
0.153 0.244 0.586
0.159 0.568 0.914
0.188 0.457 0.414
0.225 0.812 0.769
0.244 0.159 0.091
0.256 0.347 0.914
0.275 0.044 0.586
0.312 0.725 0.269
0.341 0.256 0.409
0.347 0.932 0.091
0.432 0.847 0.591
0.456 0.225 0.914
0.457 0.544 0.269
0.543 0.456 0.731
0.544 0.775 0.086
0.568 0.153 0.409
0.653 0.068 0.909
0.659 0.744 0.591
0.688 0.275 0.731
0.725 0.956 0.414
0.744 0.653 0.086
0.756 0.841 0.909
0.775 0.188 0.231
0.812 0.543 0.586
0.841 0.432 0.086
0.847 0.756 0.414
0.932 0.341 0.586
0.956 0.043 0.231
0.957 0.688 0.914
```

# 2
The following is a simulated X-ray diffraction stick pattern of Mn2OF3. It was derived from a crystal structure in the Materials Project, relaxed with GGA+U, using Cu Kα, 1.54184 Å.
Peak positions follow from Bragg's law for the DFT cell and can differ from measured ones.

Largest 12 diffraction maxima, in order of rising 2θ, 5° ≤ 2θ ≤ 70°:
two_theta, I_rel
19.3, 100
24.2, 96
31.0, 31
33.8, 32
34.4, 22
35.1, 38
38.2, 30
49.6, 66
49.9, 34
56.1, 21
60.1, 15
61.0, 25

Cell and atoms:
```
Mn2OF3
1.0
10.474 0.000 0.000
0.000 6.155 0.000
0.000 0.000 5.105
Mn O F
8 4 12
Direct
0.000 0.000 0.000
0.000 0.500 0.000
0.235 0.250 0.483
0.265 0.750 0.983
0.500 0.000 0.500
0.500 0.500 0.500
0.735 0.250 0.017
0.765 0.750 0.517
0.075 0.750 0.844
0.425 0.250 0.344
0.575 0.750 0.656
0.925 0.250 0.156
0.088 0.250 0.757
0.161 0.010 0.220
0.161 0.490 0.220
0.339 0.510 0.720
0.339 0.990 0.720
0.412 0.750 0.257
0.588 0.250 0.743
0.661 0.010 0.280
0.661 0.490 0.280
0.839 0.510 0.780
0.839 0.990 0.780
0.912 0.750 0.243
```

# 3
The following is a simulated X-ray diffraction stick pattern of LiFeP4O12. It was derived from a crystal structure in the Materials Project, relaxed with GGA+U, using Cu Kα, 1.54184 Å.
Peak positions follow from Bragg's law for the DFT cell and can differ from measured ones.

Largest 12 diffraction maxima, in order of rising 2θ, 5° ≤ 2θ ≤ 70°:
two_theta, I_rel
13.7, 19
17.2, 28
19.1, 38
20.7, 65
26.2, 35
27.6, 40
28.1, 48
29.6, 100
34.8, 23
37.6, 25
42.8, 17
56.5, 18

Cell and atoms:
```
LiFeP4O12
1.0
5.899 -4.149 0.000
5.899 4.149 0.000
-4.898 0.000 8.790
Li Fe P O
2 2 8 24
Direct
0.246 0.754 0.500
0.754 0.246 0.000
0.198 0.299 0.249
0.299 0.198 0.749
0.001 0.517 0.977
0.497 0.981 0.020
0.517 0.001 0.477
0.534 0.561 0.802
0.561 0.534 0.302
0.938 0.963 0.698
0.963 0.938 0.198
0.981 0.497 0.520
0.036 0.749 0.061
0.054 0.900 0.347
0.060 0.520 0.409
0.104 0.333 0.596
0.128 0.984 0.679
0.167 0.400 0.902
0.333 0.104 0.096
0.369 0.515 0.320
0.400 0.167 0.402
0.436 0.979 0.587
0.438 0.599 0.655
0.457 0.751 0.938
0.515 0.369 0.820
0.520 0.060 0.909
0.545 0.786 0.346
0.599 0.438 0.155
0.713 0.949 0.149
0.749 0.036 0.561
0.751 0.457 0.438
0.786 0.545 0.846
0.900 0.054 0.847
0.949 0.713 0.649
0.979 0.436 0.087
0.984 0.128 0.179
```

# 4
The following is a simulated X-ray diffraction stick pattern of V3H4O8. It was derived from a crystal structure in the Materials Project, relaxed with GGA+U, using Cu Kα, 1.54184 Å.
Peak positions follow from Bragg's law for the DFT cell and can differ from measured ones.

Largest 12 diffraction maxima, in order of rising 2θ, 5° ≤ 2θ ≤ 70°:
two_theta, I_rel
10.1, 26
15.3, 73
17.3, 17
20.2, 22
23.9, 52
24.2, 100
29.1, 32
33.8, 13
35.0, 29
48.4, 20
49.6, 16
53.6, 15

Cell and atoms:
```
V3H4O8
1.0
8.843 -1.880 0.000
8.843 1.880 0.000
-0.693 0.000 5.782
V H O
3 4 8
Direct
0.000 0.000 0.000
0.611 0.611 0.295
0.801 0.801 0.123
0.016 0.016 0.561
0.596 0.596 0.737
0.809 0.809 0.599
0.897 0.897 0.535
0.079 0.079 0.267
0.542 0.542 0.005
0.625 0.625 0.602
0.705 0.705 0.214
0.780 0.780 0.837
0.841 0.841 0.463
0.914 0.914 0.101
0.978 0.978 0.669
```

# 5
The following is a simulated X-ray diffraction stick pattern of NaCoO3. It was derived from a crystal structure in the Materials Project, relaxed with GGA+U, using Cu Kα, 1.54184 Å.
Peak positions follow from Bragg's law for the DFT cell and can differ from measured ones.

Largest 6 diffraction maxima, in order of rising 2θ, 5° ≤ 2θ ≤ 70°:
two_theta, I_rel
23.6, 80
33.7, 100
41.6, 1
48.4, 61
54.5, 26
60.2, 36

Cell and atoms:
```
NaCoO3
1.0
3.763 0.000 0.000
0.000 3.763 0.000
0.000 0.000 3.763
Na Co O
1 1 3
Direct
0.000 0.000 0.000
0.500 0.500 0.500
0.000 0.500 0.500
0.500 0.000 0.500
0.500 0.500 0.000
```

# 6
The following is a simulated X-ray diffraction stick pattern of LiV2P3O12. It was derived from a crystal structure in the Materials Project, relaxed with GGA+U, using Cu Kα, 1.54184 Å.
Peak positions follow from Bragg's law for the DFT cell and can differ from measured ones.

Largest 12 diffraction maxima, in order of rising 2θ, 5° ≤ 2θ ≤ 70°:
two_theta, I_rel
14.4, 42
14.6, 41
20.4, 59
20.7, 100
24.0, 74
24.2, 77
24.4, 83
29.0, 33
29.4, 61
32.1, 34
32.4, 23
36.3, 27

Cell and atoms:
```
LiV2P3O12
1.0
7.440 -4.285 0.000
7.440 4.285 0.000
-4.812 0.000 7.128
Li V P O
2 4 6 24
Direct
0.161 0.839 0.500
0.839 0.161 0.000
0.168 0.657 0.024
0.451 0.956 0.873
0.657 0.168 0.524
0.956 0.451 0.373
0.054 0.280 0.704
0.280 0.054 0.204
0.334 0.558 0.687
0.558 0.334 0.187
0.771 0.844 0.701
0.844 0.771 0.201
0.038 0.757 0.214
0.043 0.332 0.548
0.082 0.213 0.199
0.091 0.434 0.895
0.178 0.528 0.495
0.213 0.082 0.699
0.258 0.870 0.159
0.286 0.567 0.841
0.332 0.043 0.048
0.349 0.744 0.720
0.393 0.526 0.179
0.434 0.091 0.395
0.526 0.393 0.679
0.528 0.178 0.995
0.567 0.286 0.341
0.581 0.865 0.704
0.685 0.807 0.024
0.744 0.349 0.220
0.757 0.038 0.714
0.807 0.685 0.524
0.811 0.931 0.386
0.865 0.581 0.204
0.870 0.258 0.659
0.931 0.811 0.886
```

# 7
The following is a simulated X-ray diffraction stick pattern of MnAu2C4N4O2. It was derived from a crystal structure in the Materials Project, relaxed with GGA+U, using Cu Kα, 1.54184 Å.
Peak positions follow from Bragg's law for the DFT cell and can differ from measured ones.

Largest 12 diffraction maxima, in order of rising 2θ, 5° ≤ 2θ ≤ 70°:
two_theta, I_rel
8.6, 100
17.2, 44
27.8, 26
29.1, 20
32.1, 18
32.2, 17
32.9, 15
33.3, 14
33.4, 14
34.8, 12
36.7, 11
48.1, 16

Cell and atoms:
```
MnAu2C4N4O2
1.0
3.556 -10.311 0.000
3.556 10.311 0.000
-1.325 0.000 2.787
Mn Au C N O
1 2 4 4 2
Direct
0.000 0.000 0.000
0.250 0.750 0.000
0.750 0.250 0.000
0.152 0.848 0.000
0.346 0.654 0.000
0.654 0.346 0.000
0.848 0.152 0.000
0.096 0.904 0.000
0.403 0.597 0.000
0.597 0.403 0.000
0.904 0.096 0.000
0.175 0.175 0.672
0.825 0.825 0.328
```